Starting from a GGA-PBE-relaxed structure, the X-ray diffraction stick pattern of ErMnB14 was simulated for copper Kα.
Lines closer than 0.1° are merged.

Principal peaks in the range 10° ≤ 2θ ≤ 90°, low angle first:
2θ (°)	I_rel
13.6	27
16.6	100
18.6	39
25.1	72
27.8	86
33.6	83
33.8	29
36.8	59
40.1	34
41.4	59
41.6	24
54.6	24

Structure:
Cell: 7.3409 7.3409 7.3409 Å, 133.00 86.82 111.93°
Atoms (fractional coordinates):
1 Er 0.3782 0.1282 0.2500
2 Er 0.6218 0.8718 0.7500
3 Mn 0.0000 0.0000 0.5000
4 Mn 0.0000 0.5000 0.0000
5 B 0.0020 0.8713 0.1306
6 B 0.0313 0.2050 0.3302
7 B 0.0313 0.7011 0.8263
8 B 0.0863 0.6708 0.4154
9 B 0.1987 0.5317 0.6670
10 B 0.2241 0.5020 0.4026
11 B 0.2241 0.8214 0.7221
12 B 0.2407 0.8713 0.3694
13 B 0.2446 0.3292 0.9154
14 B 0.3647 0.5317 0.8330
15 B 0.3748 0.2050 0.6737
16 B 0.3748 0.7011 0.1698
17 B 0.4006 0.1786 0.9026
18 B 0.4006 0.4980 0.2221
19 B 0.5994 0.5020 0.7779
20 B 0.5994 0.8214 0.0974
21 B 0.6252 0.2989 0.8302
22 B 0.6252 0.7950 0.3263
23 B 0.6353 0.4683 0.1670
24 B 0.7554 0.6708 0.0846
25 B 0.7593 0.1287 0.6306
26 B 0.7759 0.1786 0.2779
27 B 0.7759 0.4980 0.5974
28 B 0.8013 0.4683 0.3330
29 B 0.9137 0.3292 0.5846
30 B 0.9687 0.2989 0.1737
31 B 0.9687 0.7950 0.6698
32 B 0.9980 0.1287 0.8694